For Li7Tl2, a DFT-relaxed cell (GGA-PBE, Alexandria) gives the theoretical X-ray diffraction stick pattern in this record (CuKα).

Main lines, in order of rising 2θ (15° ≤ 2θ ≤ 90°):
2theta  d [Å]  I/Imax  (hkl)
20.6  4.311  31  0 0 2
21.8  4.085  22  1 0 0
24.1  3.692  100  0 1 1
30.1  2.965  22  1 0 2
38.2  2.359  26  1 1 0
38.3  2.351  34  0 1 3
43.7  2.069  27  1 1 2
45.6  1.988  19  2 0 1
58.0  1.590  17  0 1 5
69.0  1.361  17  3 0 0

Structure:
a b c (Å): 4.7175 4.7175 8.6222
angles (deg): 90.00 90.00 120.00
Positions (direct):
Li (0.0000, 0.0000, 0.0000)
Li (0.0000, 0.0000, 0.3280)
Li (0.0000, 0.0000, 0.6720)
Li (0.3333, 0.6667, 0.1045)
Li (0.3333, 0.6667, 0.4317)
Li (0.6667, 0.3333, 0.5683)
Li (0.6667, 0.3333, 0.8955)
Tl (0.3333, 0.6667, 0.7699)
Tl (0.6667, 0.3333, 0.2301)